# Y3Ho7In
Computed X-ray powder pattern, Cu Kα. Input: a cell relaxed with GGA-PBE.
No peak broadening, texture or thermal motion is included.

Structure:
```
data_Y3Ho7In
_chemical_formula_sum 'Y3 Ho7 In1'
_cell_length_a 6.9359
_cell_length_b 6.9359
_cell_length_c 8.4930
_cell_angle_alpha 90.00
_cell_angle_beta 90.00
_cell_angle_gamma 120.00
_space_group_name_H-M_alt 'P 1'
_space_group_IT_number 1
loop_
_space_group_symop_operation_xyz
'x,y,z'
loop_
_atom_site_label
_atom_site_type_symbol
_atom_site_fract_x
_atom_site_fract_y
_atom_site_fract_z
Y1 Y 0.1671 0.3341 0.0000
Y2 Y 0.1671 0.8329 0.0000
Y3 Y 0.6659 0.8329 0.0000
Ho1 Ho 0.0060 0.5030 0.3372
Ho2 Ho 0.3302 0.1651 0.6582
Ho3 Ho 0.3333 0.6667 0.6696
Ho4 Ho 0.4970 0.5030 0.3372
Ho5 Ho 0.4970 0.9940 0.3372
Ho6 Ho 0.8349 0.1651 0.6582
Ho7 Ho 0.8349 0.6698 0.6582
In1 In 0.0000 0.0000 0.3322
```

Peak list (10 most intense, 5 to 70 degrees two-theta, by intensity)
2θ/deg	d_spacing	I (rel.)
31.6	2.831	100
36.6	2.452	52
62.8	1.479	41
52.8	1.734	34
10.4	8.493	19
66.0	1.416	12
29.7	3.003	5
44.0	2.060	3
18.1	4.904	3
20.9	4.246	2

---

# CeGa2Fe2C
Computed X-ray powder pattern, Cu Kα. Input: a cell relaxed with GGA-PBE.
No peak broadening, texture or thermal motion is included.

Structure:
```
data_CeGa2Fe2C
_chemical_formula_sum 'Ce1 Ga2 Fe2 C1'
_cell_length_a 3.9018
_cell_length_b 3.9018
_cell_length_c 5.5792
_cell_angle_alpha 90.00
_cell_angle_beta 90.00
_cell_angle_gamma 90.00
_space_group_name_H-M_alt 'P 1'
_space_group_IT_number 1
loop_
_space_group_symop_operation_xyz
'x,y,z'
loop_
_atom_site_label
_atom_site_type_symbol
_atom_site_fract_x
_atom_site_fract_y
_atom_site_fract_z
Ce1 Ce 0.0000 0.0000 0.0000
Ga1 Ga 0.5000 0.5000 0.2311
Ga2 Ga 0.5000 0.5000 0.7689
Fe1 Fe 0.0000 0.5000 0.5000
Fe2 Fe 0.5000 0.0000 0.5000
C1 C 0.0000 0.0000 0.5000
```

Peak list (10 most intense, 5 to 70 degrees two-theta, by intensity)
2θ/deg	d_spacing	I (rel.)
36.3	2.473	100
39.7	2.269	95
46.6	1.951	60
62.8	1.479	48
27.9	3.197	35
32.5	2.759	31
68.0	1.379	18
54.7	1.679	14
60.0	1.542	12
55.2	1.665	11

---

# SmInPd3
Computed X-ray powder pattern, Cu Kα. Input: a cell relaxed with GGA-PBE.
No peak broadening, texture or thermal motion is included.

Structure:
```
data_SmInPd3
_chemical_formula_sum 'Sm2 In2 Pd6'
_cell_length_a 6.6679
_cell_length_b 6.6679
_cell_length_c 6.6679
_cell_angle_alpha 130.20
_cell_angle_beta 107.87
_cell_angle_gamma 92.73
_space_group_name_H-M_alt 'P 1'
_space_group_IT_number 1
loop_
_space_group_symop_operation_xyz
'x,y,z'
loop_
_atom_site_label
_atom_site_type_symbol
_atom_site_fract_x
_atom_site_fract_y
_atom_site_fract_z
Sm1 Sm 0.2546 0.0046 0.2500
Sm2 Sm 0.7454 0.9954 0.7500
In1 In 0.0000 0.5000 0.5000
In2 In 0.5000 0.5000 0.0000
Pd1 Pd 0.0531 0.3031 0.7500
Pd2 Pd 0.3108 0.0000 0.8108
Pd3 Pd 0.3108 0.5000 0.3108
Pd4 Pd 0.6892 0.0000 0.1892
Pd5 Pd 0.6892 0.5000 0.6892
Pd6 Pd 0.9469 0.6969 0.2500
```

Peak list (10 most intense, 5 to 70 degrees two-theta, by intensity)
2θ/deg	d_spacing	I (rel.)
29.4	3.037	100
40.6	2.220	99
37.5	2.397	77
39.2	2.301	56
35.7	2.517	49
39.5	2.283	37
35.3	2.541	37
62.8	1.480	27
44.3	2.045	26
69.9	1.346	21

---

# Pr3Ni6P5
Computed X-ray powder pattern, Cu Kα. Input: a cell relaxed with GGA-PBE.
No peak broadening, texture or thermal motion is included.

Structure:
```
data_Pr3Ni6P5
_chemical_formula_sum 'Pr6 Ni12 P10'
_cell_length_a 3.8640
_cell_length_b 11.7870
_cell_length_c 9.6635
_cell_angle_alpha 90.00
_cell_angle_beta 90.00
_cell_angle_gamma 90.00
_space_group_name_H-M_alt 'P 1'
_space_group_IT_number 1
loop_
_space_group_symop_operation_xyz
'x,y,z'
loop_
_atom_site_label
_atom_site_type_symbol
_atom_site_fract_x
_atom_site_fract_y
_atom_site_fract_z
Pr1 Pr 0.2500 0.0918 0.2469
Pr2 Pr 0.2500 0.4082 0.2469
Pr3 Pr 0.2500 0.7500 0.2495
Pr4 Pr 0.7500 0.2500 0.7505
Pr5 Pr 0.7500 0.5918 0.7531
Pr6 Pr 0.7500 0.9082 0.7531
Ni1 Ni 0.2500 0.0644 0.8900
Ni2 Ni 0.2500 0.2500 0.0039
Ni3 Ni 0.2500 0.2500 0.5131
Ni4 Ni 0.2500 0.4356 0.8900
Ni5 Ni 0.2500 0.5781 0.4923
Ni6 Ni 0.2500 0.9219 0.4923
Ni7 Ni 0.7500 0.0781 0.5077
Ni8 Ni 0.7500 0.4219 0.5077
Ni9 Ni 0.7500 0.5644 0.1100
Ni10 Ni 0.7500 0.7500 0.4869
Ni11 Ni 0.7500 0.7500 0.9961
Ni12 Ni 0.7500 0.9356 0.1100
P1 P 0.2500 0.0783 0.6403
P2 P 0.2500 0.4217 0.6403
P3 P 0.2500 0.6163 0.9923
P4 P 0.2500 0.7500 0.6074
P5 P 0.2500 0.8837 0.9923
P6 P 0.7500 0.1163 0.0077
P7 P 0.7500 0.2500 0.3926
P8 P 0.7500 0.3837 0.0077
P9 P 0.7500 0.5783 0.3597
P10 P 0.7500 0.9217 0.3597
```

Peak list (10 most intense, 5 to 70 degrees two-theta, by intensity)
2θ/deg	d_spacing	I (rel.)
37.6	2.393	100
36.3	2.474	39
36.1	2.491	38
47.0	1.932	25
24.5	3.640	23
24.8	3.588	21
46.2	1.964	21
67.3	1.390	20
60.7	1.527	16
32.5	2.755	15

---

# Al3Sb5
Computed X-ray powder pattern, Cu Kα. Input: a cell relaxed with GGA-PBE.
No peak broadening, texture or thermal motion is included.

Structure:
```
data_Al3Sb5
_chemical_formula_sum 'Al6 Sb10'
_cell_length_a 6.8076
_cell_length_b 7.9190
_cell_length_c 8.6960
_cell_angle_alpha 88.61
_cell_angle_beta 77.25
_cell_angle_gamma 77.52
_space_group_name_H-M_alt 'P 1'
_space_group_IT_number 1
loop_
_space_group_symop_operation_xyz
'x,y,z'
loop_
_atom_site_label
_atom_site_type_symbol
_atom_site_fract_x
_atom_site_fract_y
_atom_site_fract_z
Al1 Al 0.0510 0.4863 0.2617
Al2 Al 0.3224 0.9454 0.9142
Al3 Al 0.3654 0.9155 0.4311
Al4 Al 0.6346 0.0845 0.5689
Al5 Al 0.6776 0.0546 0.0858
Al6 Al 0.9490 0.5137 0.7383
Sb1 Sb 0.1749 0.6433 0.9660
Sb2 Sb 0.1942 0.1475 0.6808
Sb3 Sb 0.2566 0.1258 0.1949
Sb4 Sb 0.2869 0.5869 0.4767
Sb5 Sb 0.4891 0.3330 0.8572
Sb6 Sb 0.5109 0.6670 0.1428
Sb7 Sb 0.7131 0.4131 0.5233
Sb8 Sb 0.7434 0.8742 0.8051
Sb9 Sb 0.8058 0.8525 0.3192
Sb10 Sb 0.8251 0.3567 0.0340
```

Peak list (10 most intense, 5 to 70 degrees two-theta, by intensity)
2θ/deg	d_spacing	I (rel.)
30.9	2.891	100
28.5	3.129	97
24.1	3.689	76
29.4	3.043	64
39.6	2.278	57
24.2	3.679	56
41.8	2.161	46
26.3	3.386	42
31.6	2.828	36
42.2	2.140	36

---

# NdAlGa2Ru2
Computed X-ray powder pattern, Cu Kα. Input: a cell relaxed with GGA-PBE.
No peak broadening, texture or thermal motion is included.

Structure:
```
data_NdAlGa2Ru2
_chemical_formula_sum 'Nd1 Al1 Ga2 Ru2'
_cell_length_a 4.5019
_cell_length_b 4.5019
_cell_length_c 5.7242
_cell_angle_alpha 90.00
_cell_angle_beta 90.00
_cell_angle_gamma 90.00
_space_group_name_H-M_alt 'P 1'
_space_group_IT_number 1
loop_
_space_group_symop_operation_xyz
'x,y,z'
loop_
_atom_site_label
_atom_site_type_symbol
_atom_site_fract_x
_atom_site_fract_y
_atom_site_fract_z
Nd1 Nd 0.0000 0.0000 0.0000
Al1 Al 0.0000 0.0000 0.5000
Ga1 Ga 0.5000 0.5000 0.2432
Ga2 Ga 0.5000 0.5000 0.7568
Ru1 Ru 0.0000 0.5000 0.5000
Ru2 Ru 0.5000 0.0000 0.5000
```

Peak list (10 most intense, 5 to 70 degrees two-theta, by intensity)
2θ/deg	d_spacing	I (rel.)
32.2	2.782	100
40.1	2.251	69
37.2	2.415	62
55.8	1.647	38
57.9	1.592	23
67.8	1.382	23
25.2	3.539	21
56.2	1.637	17
42.5	2.128	14
31.3	2.862	13